Simulated powder X-ray diffraction pattern
Compound: MoAsRu
Radiation: Cu Kα X-rays
Structure: a PBE-relaxed structure

Crystal structure
abc: 9.1298 3.0464 6.8512
angles: 90.00 96.32 90.00
Fractional positions:
Mo 0.0000 0.0000 0.0000
Mo 0.0381 0.5000 0.6900
Mo 0.5000 0.5000 0.0000
Mo 0.5381 0.0000 0.6900
As 0.3082 0.5000 0.6028
As 0.4616 0.0000 0.3050
As 0.8082 0.0000 0.6028
As 0.9616 0.5000 0.3050
Ru 0.2345 0.5000 0.2200
Ru 0.2637 0.0000 0.8942
Ru 0.7345 0.0000 0.2200
Ru 0.7637 0.5000 0.8942

Main lines, low angle first (2θ = 5–70°):
| 2θ (°) | d [Å] | I_rel |
| --- | --- | --- |
| 34.14 | 2.626 | 42.6 |
| 39.72 | 2.269 | 63.6 |
| 41.71 | 2.165 | 100.0 |
| 42.53 | 2.126 | 42.9 |
| 43.19 | 2.095 | 92.4 |
| 43.41 | 2.085 | 28.5 |

Simulated powder X-ray diffraction pattern
Compound: SrMoAs2Ru
Radiation: Cu Kα X-rays
Structure: a PBE-relaxed structure

Crystal structure
abc: 4.3315 4.3315 10.8746
angles: 90.00 90.00 90.00
Fractional positions:
Sr 0.0000 0.0000 0.0000
Sr 0.5000 0.5000 0.5000
Mo 0.0000 0.5000 0.7500
Mo 0.5000 0.0000 0.2500
As 0.0000 0.0000 0.3611
As 0.0000 0.0000 0.6389
As 0.5000 0.5000 0.1389
As 0.5000 0.5000 0.8611
Ru 0.0000 0.5000 0.2500
Ru 0.5000 0.0000 0.7500

Main lines, low angle first (2θ = 5–70°):
| 2θ (°) | d [Å] | I_rel |
| --- | --- | --- |
| 16.30 | 5.437 | 43.5 |
| 32.20 | 2.780 | 80.3 |
| 33.58 | 2.669 | 100.0 |
| 41.70 | 2.166 | 77.7 |
| 44.56 | 2.033 | 43.2 |
| 53.65 | 1.708 | 36.9 |

Simulated powder X-ray diffraction pattern
Compound: TcMoAs4
Radiation: Cu Kα X-rays
Structure: a PBE-relaxed structure

Crystal structure
abc: 5.3020 5.3020 5.3020
angles: 60.00 60.00 60.00
Fractional positions:
Tc 0.0000 0.0000 0.0000
Mo 0.2500 0.2500 0.2500
As 0.1253 0.6249 0.6249
As 0.6249 0.1253 0.6249
As 0.6249 0.6249 0.1253
As 0.6249 0.6249 0.6249

Main lines, low angle first (2θ = 5–70°):
| 2θ (°) | d [Å] | I_rel |
| --- | --- | --- |
| 33.81 | 2.651 | 35.9 |
| 39.88 | 2.261 | 100.0 |
| 41.73 | 2.165 | 32.3 |
| 48.57 | 1.875 | 2.0 |
| 60.49 | 1.531 | 12.8 |
| 64.58 | 1.443 | 31.2 |

Simulated powder X-ray diffraction pattern
Compound: MoAsW
Radiation: Cu Kα X-rays
Structure: a PBE-relaxed structure

Crystal structure
abc: 3.1389 3.1389 9.4334
angles: 90.00 90.00 90.00
Fractional positions:
Mo 0.0000 0.0000 0.0000
Mo 0.5000 0.5000 0.5000
As 0.0000 0.0000 0.6601
As 0.5000 0.5000 0.1601
W 0.0000 0.0000 0.3203
W 0.5000 0.5000 0.8203

Main lines, low angle first (2θ = 5–70°):
| 2θ (°) | d [Å] | I_rel |
| --- | --- | --- |
| 18.81 | 4.717 | 6.5 |
| 30.00 | 2.978 | 11.9 |
| 40.62 | 2.221 | 100.0 |
| 56.97 | 1.617 | 4.2 |
| 58.73 | 1.572 | 5.4 |
| 58.84 | 1.569 | 11.2 |

Simulated powder X-ray diffraction pattern
Compound: ZnMo2As
Radiation: Cu Kα X-rays
Structure: a PBE-relaxed structure

Crystal structure
abc: 3.2828 3.2828 5.7521
angles: 90.00 90.00 90.00
Fractional positions:
Zn 0.0000 0.0000 0.0000
Mo 0.0000 0.0000 0.5107
Mo 0.5000 0.5000 0.7604
As 0.5000 0.5000 0.2627

Main lines, low angle first (2θ = 5–70°):
| 2θ (°) | d [Å] | I_rel |
| --- | --- | --- |
| 15.40 | 5.752 | 4.0 |
| 31.37 | 2.851 | 1.7 |
| 38.79 | 2.321 | 62.1 |
| 41.75 | 2.163 | 100.0 |
| 56.03 | 1.641 | 20.5 |
| 64.84 | 1.438 | 6.4 |

Simulated powder X-ray diffraction pattern
Compound: AsN
Radiation: Cu Kα X-rays
Structure: a PBE-relaxed structure

Crystal structure
abc: 6.2808 3.6219 10.0124
angles: 90.00 96.10 90.00
Fractional positions:
As 0.0000 0.0000 0.0000
As 0.1906 0.5000 0.1400
As 0.5000 0.5000 0.0000
As 0.6906 0.0000 0.1400
N 0.3111 0.0000 0.6180
N 0.3852 0.0000 0.5218
N 0.8111 0.5000 0.6180
N 0.8852 0.5000 0.5218

Main lines, low angle first (2θ = 5–70°):
| 2θ (°) | d [Å] | I_rel |
| --- | --- | --- |
| 8.88 | 9.956 | 100.0 |
| 17.82 | 4.978 | 28.2 |
| 30.36 | 2.944 | 25.4 |
| 34.63 | 2.590 | 11.3 |
| 40.64 | 2.220 | 11.9 |
| 50.57 | 1.805 | 10.9 |